Structure and computed powder X-ray diffraction pattern of La4MnAl3O12 (a DFT-relaxed cell (PBE+U, Alexandria); λ = 1.5418 Å (Cu Kα)).
Neutral-atom scattering factors, no anomalous dispersion.

The 10 most intense peaks (2θ from 15° to 90°), in order of rising 2θ:
| two_theta | d (Å) | intensity |
| --- | --- | --- |
| 23.3 | 3.825 | 36 |
| 33.1 | 2.705 | 100 |
| 40.9 | 2.209 | 36 |
| 47.5 | 1.913 | 35 |
| 53.6 | 1.711 | 17 |
| 59.2 | 1.562 | 39 |
| 69.5 | 1.352 | 21 |
| 74.4 | 1.275 | 8 |
| 79.2 | 1.210 | 17 |
| 83.9 | 1.153 | 11 |

Structural model:
a b c (Å): 6.6258 6.6258 6.6258
angles (deg): 109.47 109.47 109.47
Fractional positions:
La: 0.0000 0.0000 0.5000
La: 0.0000 0.5000 0.0000
La: 0.5000 0.0000 0.0000
La: 0.5000 0.5000 0.5000
Mn: 0.0000 0.0000 0.0000
Al: 0.0000 0.5000 0.5000
Al: 0.5000 0.0000 0.5000
Al: 0.5000 0.5000 0.0000
O: 0.0000 0.2538 0.2538
O: 0.0000 0.7462 0.7462
O: 0.2500 0.5000 0.7500
O: 0.2500 0.7500 0.5000
O: 0.2538 0.0000 0.2538
O: 0.2538 0.2538 0.0000
O: 0.5000 0.2500 0.7500
O: 0.5000 0.7500 0.2500
O: 0.7462 0.0000 0.7462
O: 0.7462 0.7462 0.0000
O: 0.7500 0.2500 0.5000
O: 0.7500 0.5000 0.2500